# LuNbMoRu
Computed powder X-ray diffraction pattern, Cu Kα. Input: the GGA-PBE geometry in Alexandria.

Cell and atoms:
Lattice parameters (Å, degrees): 6.554 6.554 6.554 90.00 90.00 90.00
Space group F-43m (No. 216)
Symmetry-distinct sites (fractional):
Lu 0.000 0.000 0.000 x4
Nb 0.000 0.000 0.500 x4
Mo 0.250 0.250 0.750 x4
Ru 0.250 0.250 0.250 x4

The 8 most intense peaks (2θ from 5° to 70°), most intense first:
| two_theta | I_rel |
| --- | --- |
| 38.86 | 100 |
| 56.13 | 17 |
| 23.51 | 6 |
| 45.92 | 4 |
| 27.21 | 3 |
| 61.69 | 2 |
| 63.47 | 1 |
| 48.09 | 1 |

# SiOsPb
Computed powder X-ray diffraction pattern, Cu Kα. Input: the GGA-PBE geometry in Alexandria.

Cell and atoms:
Lattice parameters (Å, degrees): 3.129 3.129 11.899 90.00 90.00 90.00
Space group I4mm (No. 107)
Symmetry-distinct sites (fractional):
Si 0.000 0.000 0.000 x2
Os 0.000 0.000 0.412 x2
Pb 0.000 0.000 0.723 x2

The 8 most intense peaks (2θ from 5° to 70°), most intense first:
| two_theta | I_rel |
| --- | --- |
| 36.58 | 100 |
| 29.52 | 43 |
| 40.78 | 42 |
| 30.04 | 22 |
| 14.89 | 22 |
| 51.47 | 21 |
| 62.15 | 18 |
| 62.94 | 16 |

# Pa2Ge2Os
Computed powder X-ray diffraction pattern, Cu Kα. Input: the GGA-PBE geometry in Alexandria.

Cell and atoms:
Lattice parameters (Å, degrees): 3.263 4.356 14.114 90.00 90.00 90.00
Space group Amm2 (No. 38)
Symmetry-distinct sites (fractional):
Pa 0.000 0.000 0.000 x2
Pa 0.000 0.000 0.234 x2
Ge 0.500 0.000 0.609 x2
Ge 0.500 0.000 0.819 x2
Os 0.500 0.000 0.418 x2

The 8 most intense peaks (2θ from 5° to 70°), most intense first:
| two_theta | I_rel |
| --- | --- |
| 34.94 | 100 |
| 37.98 | 83 |
| 37.54 | 59 |
| 39.46 | 47 |
| 41.46 | 38 |
| 57.16 | 36 |
| 21.35 | 29 |
| 25.24 | 20 |

# PuSnPb
Computed powder X-ray diffraction pattern, Cu Kα. Input: the GGA-PBE geometry in Alexandria.

Cell and atoms:
Lattice parameters (Å, degrees): 6.042 3.318 8.451 90.00 90.00 90.00
Space group Pmma (No. 51)
Symmetry-distinct sites (fractional):
Pu 0.250 0.000 0.166 x2
Sn 0.000 0.000 0.500 x2
Pb 0.250 0.500 0.818 x2

The 8 most intense peaks (2θ from 5° to 70°), most intense first:
| two_theta | I_rel |
| --- | --- |
| 32.56 | 100 |
| 37.54 | 58 |
| 31.77 | 54 |
| 31.45 | 38 |
| 36.56 | 34 |
| 53.62 | 27 |
| 54.38 | 24 |
| 29.57 | 21 |